Calculated X-ray powder pattern
Compound: HfCrF2
Radiation: Cu Ka
Structure: a crystal structure in Alexandria, relaxed with PBE+U
No peak broadening, texture or thermal motion is included.

Largest 10 diffraction maxima, in order of rising 2θ, 2θ = 5–70°:
hkl 0 0 3, 9.59°, rel. 100; hkl 0 0 6, 19.24°, rel. 50; hkl 0 1 2, 35.68°, rel. 40; hkl 1 0 4, 37.48°, rel. 23; hkl 0 1 5, 38.77°, rel. 14; hkl 0 0 12, 39.06°, rel. 8; hkl 0 1 8, 44.02°, rel. 26; hkl 1 0 10, 48.45°, rel. 20; hkl 1 1 0, 62.91°, rel. 9; hkl 1 1 6, 66.45°, rel. 10

Crystal structure
```
data_HfCrF2
_chemical_formula_sum 'Hf3 Cr3 F6'
_symmetry_space_group_name_H-M 'R -3 m'
_symmetry_Int_Tables_number 166
_symmetry_space_group_name_Hall '-R 3 2"'
_cell_length_a 2.9546
_cell_length_b 2.9546
_cell_length_c 27.6738
_cell_angle_alpha 90.00
_cell_angle_beta 90.00
_cell_angle_gamma 120.00
loop_
_atom_site_label
_atom_site_type_symbol
_atom_site_fract_x
_atom_site_fract_y
_atom_site_fract_z
Hf1 Hf 0.0000 0.0000 0.0000
Cr1 Cr 0.0000 0.0000 0.5000
F1 F 0.0000 0.0000 0.3886
```